# CeCuBiRh
Calculated powder diffractogram, Cu Kα, 1.54184 Å. Input: DFT lattice parameters and positions (GGA-PBE).
No peak broadening, texture or thermal motion is included.

Atomic structure:
```
CeCuBiRh
1.0
0.000 3.443 3.443
3.443 0.000 3.443
3.443 3.443 0.000
Ce Cu Bi Rh
1 1 1 1
Cartesian
0.000 0.000 0.000
1.721 1.721 1.721
3.443 3.443 3.443
5.164 5.164 5.164
```

Largest 11 diffraction maxima, most intense first, 2θ = 10–80°:
2theta, I (rel.)
36.93, 100
66.53, 35
53.21, 17
25.88, 13
78.60, 11
60.10, 6
22.36, 5
45.64, 4
43.60, 3
58.42, 1
71.15, 1


# Ce2Dy5Bi4
Calculated powder diffractogram, Cu Kα, 1.54184 Å. Input: DFT lattice parameters and positions (GGA-PBE).
No peak broadening, texture or thermal motion is included.

Atomic structure:
```
Ce2Dy5Bi4
1.0
11.166 -2.109 0.000
11.166 2.109 0.000
-2.345 0.000 7.768
Ce Dy Bi
2 5 4
Cartesian
4.054 0.000 3.089
15.933 0.000 4.679
0.000 0.000 0.000
5.121 0.000 7.601
7.647 0.000 4.198
12.340 0.000 3.570
14.866 0.000 0.167
2.373 0.000 5.797
9.812 0.000 1.863
10.175 0.000 5.905
17.614 0.000 1.971
```

Largest 12 diffraction maxima, most intense first, 2θ = 10–80°:
2theta, I (rel.)
31.15, 100
34.13, 43
30.47, 39
42.26, 29
42.89, 28
25.51, 25
65.37, 22
36.53, 22
45.96, 21
29.75, 20
15.92, 19
36.28, 19


# CeDy4Bi5
Calculated powder diffractogram, Cu Kα, 1.54184 Å. Input: DFT lattice parameters and positions (GGA-PBE).
No peak broadening, texture or thermal motion is included.

Atomic structure:
```
CeDy4Bi5
1.0
-2.251 3.183 11.249
2.251 -3.183 11.249
2.251 3.183 -11.249
Ce Dy Bi
1 4 5
Cartesian
0.000 0.000 0.000
0.000 0.000 4.546
0.000 0.000 8.981
0.000 0.000 13.517
0.000 0.000 17.951
2.251 0.000 2.302
2.251 0.000 6.759
0.000 3.183 0.000
0.000 3.183 4.490
0.000 3.183 8.947
```

Largest 10 diffraction maxima, most intense first, 2θ = 10–80°:
2theta, I (rel.)
28.04, 100
40.07, 78
65.59, 37
49.61, 28
72.79, 28
57.95, 13
24.22, 3
47.37, 2
63.73, 1
78.00, 1


# Ce2DyBi3
Calculated powder diffractogram, Cu Kα, 1.54184 Å. Input: DFT lattice parameters and positions (GGA-PBE).
No peak broadening, texture or thermal motion is included.

Atomic structure:
```
Ce2DyBi3
1.0
0.000 6.449 13.685
4.558 0.000 13.685
4.558 6.449 0.000
Ce Dy Bi
8 4 12
Cartesian
1.139 1.612 1.161
3.418 4.837 3.398
1.139 1.612 5.682
5.697 8.061 10.241
3.418 4.837 17.129
7.976 11.286 21.688
5.697 8.061 23.972
7.976 11.286 26.209
3.418 4.837 7.978
3.418 4.837 12.550
5.697 8.061 14.820
5.697 8.061 19.392
3.444 1.641 7.959
5.643 4.837 10.264
3.392 1.641 12.568
5.671 4.866 14.802
7.922 8.061 17.106
5.723 4.866 19.411
3.392 8.033 7.959
1.193 4.837 10.264
3.444 8.033 12.568
5.723 11.257 14.802
3.472 8.061 17.106
5.671 11.257 19.411
```

Largest 10 diffraction maxima, most intense first, 2θ = 10–80°:
2theta, I (rel.)
27.67, 100
39.53, 78
64.64, 37
48.93, 29
71.70, 28
57.14, 14
23.90, 5
46.72, 3
62.81, 1
76.81, 1


# CeDy4Bi2
Calculated powder diffractogram, Cu Kα, 1.54184 Å. Input: DFT lattice parameters and positions (GGA-PBE).
No peak broadening, texture or thermal motion is included.

Atomic structure:
```
CeDy4Bi2
1.0
8.042 0.000 0.000
0.000 6.576 0.000
-3.686 0.000 8.120
Ce Dy Bi
2 8 4
Cartesian
-0.459 1.644 2.920
4.815 4.932 5.200
1.250 4.932 0.653
-0.199 0.030 6.388
-0.199 3.258 6.388
1.898 4.932 4.181
2.458 1.644 3.939
4.555 3.318 1.731
4.555 6.546 1.731
3.105 1.644 7.467
-0.928 4.932 3.026
1.862 1.644 0.671
2.494 4.932 7.449
5.283 1.644 5.094
```

Largest 12 diffraction maxima, most intense first, 2θ = 10–80°:
2theta, I (rel.)
30.10, 100
30.65, 88
34.15, 52
29.96, 51
33.57, 44
35.12, 37
35.27, 32
27.12, 30
36.86, 25
40.29, 24
51.45, 24
37.31, 23


# Ce2DyErBi5
Calculated powder diffractogram, Cu Kα, 1.54184 Å. Input: DFT lattice parameters and positions (GGA-PBE).
No peak broadening, texture or thermal motion is included.

Atomic structure:
```
Ce2DyErBi5
1.0
5.462 0.000 0.000
0.000 5.462 0.000
0.000 0.000 11.798
Ce Dy Er Bi
2 1 1 5
Cartesian
0.000 0.000 2.543
0.000 0.000 9.255
2.731 2.731 0.000
2.731 2.731 5.899
0.000 0.000 5.899
0.000 2.731 0.000
2.731 0.000 0.000
2.731 2.731 2.998
2.731 2.731 8.800
```

Largest 12 diffraction maxima, most intense first, 2θ = 10–80°:
2theta, I (rel.)
32.79, 100
45.25, 73
23.03, 60
30.30, 54
24.25, 52
32.49, 44
57.00, 37
47.06, 37
27.61, 34
38.40, 25
27.96, 18
78.28, 17


# Ce2NdDyBi5
Calculated powder diffractogram, Cu Kα, 1.54184 Å. Input: DFT lattice parameters and positions (GGA-PBE).
No peak broadening, texture or thermal motion is included.

Atomic structure:
```
Ce2NdDyBi5
1.0
5.595 0.000 0.000
0.000 5.595 0.000
0.000 0.000 11.919
Ce Nd Dy Bi
2 1 1 5
Cartesian
0.000 0.000 2.587
0.000 0.000 9.332
2.797 2.797 0.000
2.797 2.797 5.960
0.000 0.000 5.960
0.000 2.797 0.000
2.797 0.000 0.000
2.797 2.797 3.055
2.797 2.797 8.864
```

Largest 12 diffraction maxima, most intense first, 2θ = 10–80°:
2theta, I (rel.)
31.97, 100
44.42, 56
22.47, 41
23.70, 39
29.99, 37
27.05, 26
55.78, 26
45.88, 26
37.79, 18
76.08, 15
27.54, 13
56.98, 12


# Ce2PmDyBi5
Calculated powder diffractogram, Cu Kα, 1.54184 Å. Input: DFT lattice parameters and positions (GGA-PBE).
No peak broadening, texture or thermal motion is included.

Atomic structure:
```
Ce2PmDyBi5
1.0
5.449 0.000 0.000
0.000 5.449 0.000
0.000 0.000 11.989
Ce Pm Dy Bi
2 1 1 5
Cartesian
0.000 0.000 2.617
0.000 0.000 9.372
2.724 2.724 5.994
2.724 2.724 0.000
0.000 0.000 5.994
0.000 2.724 0.000
2.724 0.000 0.000
2.724 2.724 3.004
2.724 2.724 8.985
```

Largest 12 diffraction maxima, most intense first, 2θ = 10–80°:
2theta, I (rel.)
32.88, 100
44.96, 77
23.08, 59
29.81, 58
24.26, 50
32.27, 46
56.81, 39
27.52, 39
47.18, 37
38.04, 26
58.32, 18
78.51, 17


Question: Number 1 is which compound?
Answer: CeCuBiRh